1.
Structure and theoretical powder XRD pattern of PaSn4Pd15 (a cell relaxed with PBE; Cu Kα (λ = 1.5418 Å)).

Cell and atoms:
```
PaSn4Pd15
1.0
4.067 0.000 0.000
0.000 4.067 0.000
0.000 0.000 20.290
Pa Sn Pd
1 4 15
direct
0.000 0.000 0.000 Pa
0.000 0.000 0.207 Sn
0.000 0.000 0.402 Sn
0.000 0.000 0.598 Sn
0.000 0.000 0.793 Sn
0.000 0.500 0.100 Pd
0.000 0.500 0.302 Pd
0.000 0.500 0.500 Pd
0.000 0.500 0.698 Pd
0.000 0.500 0.900 Pd
0.500 0.000 0.100 Pd
0.500 0.000 0.302 Pd
0.500 0.000 0.500 Pd
0.500 0.000 0.698 Pd
0.500 0.000 0.900 Pd
0.500 0.500 0.000 Pd
0.500 0.500 0.201 Pd
0.500 0.500 0.400 Pd
0.500 0.500 0.600 Pd
0.500 0.500 0.799 Pd
```

Largest 10 diffraction maxima, sorted by position, 10 to 90 degrees two-theta:
2theta	I/Imax
13.09	0.9
21.87	1.4
31.12	1.3
38.36	100.0
44.56	32.9
44.66	15.9
64.90	31.5
77.93	25.1
78.08	11.9
82.17	10.8

2.
Structure and theoretical powder XRD pattern of U5GeS4 (a cell relaxed with PBE; Cu Kα (λ = 1.5418 Å)).

Cell and atoms:
```
U5GeS4
1.0
-1.986 2.773 9.628
1.986 -2.773 9.628
1.986 2.773 -9.628
U Ge S
5 1 4
direct
0.000 0.000 0.000 U
0.198 0.198 0.000 U
0.393 0.393 0.000 U
0.607 0.607 0.000 U
0.802 0.802 0.000 U
0.500 0.000 0.500 Ge
0.099 0.599 0.500 S
0.296 0.796 0.500 S
0.704 0.204 0.500 S
0.901 0.401 0.500 S
```

Largest 10 diffraction maxima, sorted by position, 10 to 90 degrees two-theta:
2theta	I/Imax
27.62	71.0
28.21	66.0
32.28	51.3
32.38	100.0
45.69	19.7
46.37	74.2
54.57	23.1
55.57	20.6
57.04	20.7
58.34	18.2

3.
Structure and theoretical powder XRD pattern of Nd2DyNi6 (a cell relaxed with PBE; Cu Kα (λ = 1.5418 Å)).

Cell and atoms:
```
Nd2DyNi6
1.0
6.938 0.000 0.000
-3.469 6.008 0.000
0.000 0.000 3.926
Nd Dy Ni
2 1 6
direct
0.333 0.667 0.000 Nd
0.667 0.333 0.000 Nd
0.000 0.000 0.000 Dy
0.000 0.331 0.500 Ni
0.000 0.669 0.500 Ni
0.331 0.000 0.500 Ni
0.331 0.331 0.500 Ni
0.669 0.000 0.500 Ni
0.669 0.669 0.500 Ni
```

Largest 10 diffraction maxima, sorted by position, 10 to 90 degrees two-theta:
2theta	I/Imax
25.68	16.2
34.50	100.0
45.28	39.2
46.25	12.3
53.64	4.6
58.14	21.7
66.72	23.6
76.62	18.9
78.04	9.0
83.63	6.2